This entry pairs a crystal structure of TlAgF3 with its theoretical powder diffraction line list. Radiation: Cu Kα (λ = 1.5418 Å). Structure: a structure optimized by DFT (PBE).

Largest 10 diffraction maxima, low angle first, 5 to 70 degrees two-theta:
2θ 28.39, intensity 100.0
2θ 28.62, intensity 98.0
2θ 40.75, intensity 61.0
2θ 50.14, intensity 21.2
2θ 50.56, intensity 41.4
2θ 50.70, intensity 20.5
2θ 58.75, intensity 19.8
2θ 59.25, intensity 19.2
2θ 66.63, intensity 18.1
2θ 66.99, intensity 17.9

Crystal structure
Cell lengths 4.4277, 4.4277, 4.4294 Å; angles 90.47, 90.47, 89.59 degrees
Fractional positions:
1 Tl 0.0000 0.0000 0.0000
2 Ag 0.5021 0.5021 0.5082
3 F 0.0023 0.4998 0.5107
4 F 0.4998 0.0023 0.5107
5 F 0.5081 0.5081 0.0085